Structure and computed powder diffraction line list of Nd5DyTe8 (a cell relaxed with GGA-PBE; Cu Kα).

Most intense lines, 2θ from 10° to 90°, by angle:
- 2θ = 22.91°, rel. 12
- 2θ = 29.56°, rel. 52
- 2θ = 29.78°, rel. 100
- 2θ = 35.22°, rel. 36
- 2θ = 35.36°, rel. 68
- 2θ = 42.61°, rel. 17
- 2θ = 44.70°, rel. 18
- 2θ = 46.87°, rel. 15
- 2θ = 60.05°, rel. 15
- 2θ = 60.14°, rel. 14

Atomic structure:
Cell lengths 8.235, 8.235, 8.235 Å; angles 109.70, 109.70, 109.02 degrees
Positions (direct):
Nd: 0.000 0.000 0.000
Nd: 0.125 0.256 0.630
Nd: 0.505 0.875 0.131
Nd: 0.626 0.495 0.370
Nd: 0.744 0.374 0.869
Dy: 0.250 0.750 0.500
Te: 0.027 0.626 0.751
Te: 0.226 0.480 0.108
Te: 0.371 0.118 0.892
Te: 0.374 0.124 0.401
Te: 0.520 0.629 0.746
Te: 0.723 0.973 0.599
Te: 0.876 0.277 0.249
Te: 0.882 0.774 0.254


Structure and computed powder diffraction line list of NdDyY2Te6 (a cell relaxed with GGA-PBE; Cu Kα).

Most intense lines, 2θ from 10° to 90°, by angle:
- 2θ = 15.60°, rel. 29
- 2θ = 21.35°, rel. 19
- 2θ = 26.18°, rel. 100
- 2θ = 31.50°, rel. 16
- 2θ = 34.32°, rel. 81
- 2θ = 40.22°, rel. 56
- 2θ = 45.02°, rel. 23
- 2θ = 53.87°, rel. 21
- 2θ = 67.51°, rel. 18
- 2θ = 69.32°, rel. 18

Atomic structure:
Cell lengths 8.368, 8.368, 8.368 Å; angles 55.31, 55.31, 55.31 degrees
Positions (direct):
Nd: 0.000 0.000 0.000
Dy: 0.497 0.497 0.497
Y: 0.310 0.310 0.310
Y: 0.812 0.812 0.812
Te: 0.089 0.705 0.417
Te: 0.217 0.585 0.905
Te: 0.417 0.089 0.705
Te: 0.585 0.905 0.217
Te: 0.705 0.417 0.089
Te: 0.905 0.217 0.585


Structure and computed powder diffraction line list of Nd3Dy8Th (a cell relaxed with GGA-PBE; Cu Kα).

Most intense lines, 2θ from 10° to 90°, by angle:
- 2θ = 28.37°, rel. 24
- 2θ = 31.11°, rel. 25
- 2θ = 32.44°, rel. 100
- 2θ = 42.60°, rel. 16
- 2θ = 50.24°, rel. 20
- 2θ = 56.20°, rel. 21
- 2θ = 60.27°, rel. 19
- 2θ = 61.09°, rel. 16
- 2θ = 82.92°, rel. 11
- 2θ = 86.29°, rel. 7

Atomic structure:
Cell lengths 8.516, 8.516, 10.890 Å; angles 129.67, 129.67, 43.37 degrees
Positions (direct):
Nd: 0.000 0.000 0.000
Nd: 0.415 0.083 0.749
Nd: 0.917 0.585 0.251
Dy: 0.409 0.093 0.087
Dy: 0.410 0.093 0.416
Dy: 0.492 0.508 0.173
Dy: 0.492 0.508 0.827
Dy: 0.907 0.590 0.584
Dy: 0.907 0.591 0.913
Dy: 0.989 0.010 0.667
Dy: 0.990 0.011 0.333
Th: 0.501 0.499 0.500


Structure and computed powder diffraction line list of NdDy7Th2 (a cell relaxed with GGA-PBE; Cu Kα).

Most intense lines, 2θ from 10° to 90°, by angle:
- 2θ = 15.85°, rel. 9
- 2θ = 23.84°, rel. 9
- 2θ = 32.01°, rel. 28
- 2θ = 32.19°, rel. 28
- 2θ = 32.82°, rel. 100
- 2θ = 45.91°, rel. 10
- 2θ = 46.16°, rel. 10
- 2θ = 57.49°, rel. 10
- 2θ = 57.68°, rel. 20
- 2θ = 57.87°, rel. 10

Atomic structure:
Cell lengths 8.427, 8.427, 5.561 Å; angles 109.07, 109.07, 84.60 degrees
Positions (direct):
Nd: 0.000 0.000 0.000
Dy: 0.101 0.403 0.252
Dy: 0.337 0.663 0.000
Dy: 0.403 0.101 0.252
Dy: 0.500 0.500 0.500
Dy: 0.597 0.899 0.748
Dy: 0.663 0.337 0.000
Dy: 0.899 0.597 0.748
Th: 0.156 0.844 0.500
Th: 0.844 0.156 0.500


Structure and computed powder diffraction line list of Nd2Dy4Th3 (a cell relaxed with GGA-PBE; Cu Kα).

Most intense lines, 2θ from 10° to 90°, by angle:
- 2θ = 28.83°, rel. 43
- 2θ = 30.07°, rel. 46
- 2θ = 31.85°, rel. 61
- 2θ = 33.44°, rel. 100
- 2θ = 42.15°, rel. 28
- 2θ = 51.08°, rel. 36
- 2θ = 56.61°, rel. 31
- 2θ = 60.42°, rel. 39
- 2θ = 62.46°, rel. 23
- 2θ = 84.82°, rel. 26

Atomic structure:
Cell lengths 3.576, 3.576, 26.744 Å; angles 90.00, 90.00, 120.00 degrees
Positions (direct):
Nd: 0.000 0.000 0.000
Nd: 0.000 0.000 0.222
Dy: 0.000 0.000 0.349
Dy: 0.000 0.000 0.565
Dy: 0.333 0.667 0.672
Dy: 0.333 0.667 0.888
Th: 0.000 0.000 0.781
Th: 0.333 0.667 0.112
Th: 0.333 0.667 0.455


Structure and computed powder diffraction line list of NdDy3Th (a cell relaxed with GGA-PBE; Cu Kα).

Most intense lines, 2θ from 10° to 90°, by angle:
- 2θ = 30.53°, rel. 99
- 2θ = 30.68°, rel. 98
- 2θ = 35.49°, rel. 100
- 2θ = 50.86°, rel. 12
- 2θ = 51.07°, rel. 47
- 2θ = 60.58°, rel. 29
- 2θ = 60.73°, rel. 28
- 2θ = 60.84°, rel. 28
- 2θ = 63.56°, rel. 12
- 2θ = 85.93°, rel. 22

Atomic structure:
Cell lengths 10.115, 3.590, 17.825 Å; angles 90.00, 90.00, 90.00 degrees
Positions (direct):
Nd: 0.125 0.250 0.149
Nd: 0.375 0.750 0.649
Nd: 0.625 0.250 0.351
Nd: 0.875 0.750 0.851
Dy: 0.119 0.250 0.353
Dy: 0.129 0.250 0.749
Dy: 0.132 0.250 0.951
Dy: 0.368 0.750 0.451
Dy: 0.371 0.750 0.249
Dy: 0.381 0.750 0.853
Dy: 0.619 0.250 0.147
Dy: 0.629 0.250 0.751
Dy: 0.632 0.250 0.549
Dy: 0.868 0.750 0.049
Dy: 0.871 0.750 0.251
Dy: 0.881 0.750 0.647
Th: 0.123 0.250 0.549
Th: 0.377 0.750 0.049
Th: 0.623 0.250 0.951
Th: 0.877 0.750 0.451


Structure and computed powder diffraction line list of Nd5Dy4Th4 (a cell relaxed with GGA-PBE; Cu Kα).

Most intense lines, 2θ from 10° to 90°, by angle:
- 2θ = 30.35°, rel. 100
- 2θ = 35.12°, rel. 34
- 2θ = 35.30°, rel. 17
- 2θ = 50.52°, rel. 12
- 2θ = 50.65°, rel. 24
- 2θ = 60.08°, rel. 29
- 2θ = 60.31°, rel. 15
- 2θ = 63.13°, rel. 12
- 2θ = 82.26°, rel. 6
- 2θ = 82.47°, rel. 12

Atomic structure:
Cell lengths 9.557, 9.557, 9.557 Å; angles 94.06, 94.06, 149.14 degrees
Positions (direct):
Nd: 0.000 0.000 0.000
Nd: 0.302 0.462 0.764
Nd: 0.462 0.698 0.159
Nd: 0.538 0.302 0.841
Nd: 0.698 0.538 0.236
Dy: 0.154 0.235 0.389
Dy: 0.235 0.846 0.081
Dy: 0.765 0.154 0.919
Dy: 0.846 0.765 0.611
Th: 0.073 0.614 0.687
Th: 0.386 0.073 0.459
Th: 0.614 0.927 0.541
Th: 0.927 0.386 0.313


Structure and computed powder diffraction line list of NdDy6Th2 (a cell relaxed with GGA-PBE; Cu Kα).

Most intense lines, 2θ from 10° to 90°, by angle:
- 2θ = 31.49°, rel. 98
- 2θ = 31.81°, rel. 100
- 2θ = 45.37°, rel. 36
- 2θ = 56.48°, rel. 38
- 2θ = 56.68°, rel. 20
- 2θ = 62.55°, rel. 29
- 2θ = 66.48°, rel. 12
- 2θ = 75.42°, rel. 16
- 2θ = 80.76°, rel. 14
- 2θ = 89.41°, rel. 12

Atomic structure:
Cell lengths 9.744, 9.744, 3.497 Å; angles 90.00, 90.00, 120.00 degrees
Positions (direct):
Nd: 0.000 0.000 0.000
Dy: 0.000 0.335 0.500
Dy: 0.000 0.665 0.500
Dy: 0.335 0.000 0.500
Dy: 0.335 0.335 0.500
Dy: 0.665 0.000 0.500
Dy: 0.665 0.665 0.500
Th: 0.333 0.667 0.000
Th: 0.667 0.333 0.000